Starting from a crystal structure in OQMD, relaxed with GGA-PBE, the X-ray powder pattern of NbAsNO was simulated for Cu Kα X-rays.
Neutral-atom scattering factors, no anomalous dispersion.

Largest 8 diffraction maxima, low angle first, 2θ = 15–90°:
21.10 deg, I = 100
27.76 deg, I = 91
32.38 deg, I = 36
33.02 deg, I = 45
36.40 deg, I = 36
40.54 deg, I = 32
43.66 deg, I = 39
49.96 deg, I = 35

Atomic structure:
```
NbAsNO
1.0
3.666 0.000 0.000
0.000 6.675 0.000
0.000 0.000 5.426
Nb As N O
2 2 2 2
direct
0.000 0.177 0.000
0.000 0.823 0.500
0.500 0.487 0.950
0.500 0.513 0.450
0.500 0.206 0.852
0.500 0.794 0.352
0.000 0.098 0.329
0.000 0.902 0.829
```


Starting from a crystal structure in OQMD, relaxed with GGA-PBE, the X-ray powder pattern of K2Ag2GeSe4 was simulated for Cu Kα X-rays.
Neutral-atom scattering factors, no anomalous dispersion.

Largest 8 diffraction maxima, low angle first, 2θ = 15–90°:
18.99 deg, I = 26
26.16 deg, I = 45
29.48 deg, I = 36
30.87 deg, I = 100
32.53 deg, I = 34
37.93 deg, I = 33
40.32 deg, I = 22
47.26 deg, I = 26

Atomic structure:
```
K2Ag2GeSe4
1.0
0.000 7.040 11.009
3.357 0.000 11.009
3.357 7.040 0.000
K Ag Ge Se
4 4 2 8
direct
0.061 0.061 0.689
0.311 0.311 0.939
0.689 0.689 0.061
0.939 0.939 0.311
0.301 0.301 0.449
0.449 0.449 0.301
0.551 0.551 0.699
0.699 0.699 0.551
0.125 0.125 0.125
0.875 0.875 0.875
0.097 0.277 0.365
0.239 0.635 0.723
0.277 0.097 0.761
0.365 0.761 0.097
0.635 0.239 0.903
0.723 0.903 0.239
0.761 0.365 0.277
0.903 0.723 0.635
```


Starting from a crystal structure in OQMD, relaxed with GGA-PBE, the X-ray powder pattern of Dy3SbAu9 was simulated for Cu Kα X-rays.
Neutral-atom scattering factors, no anomalous dispersion.

Largest 8 diffraction maxima, low angle first, 2θ = 15–90°:
36.96 deg, I = 89
38.06 deg, I = 100
39.15 deg, I = 29
45.21 deg, I = 21
54.10 deg, I = 21
65.10 deg, I = 20
68.05 deg, I = 15
74.50 deg, I = 26

Atomic structure:
```
Dy3SbAu9
1.0
8.190 0.000 0.000
-4.095 7.093 0.000
0.000 0.000 9.070
Dy Sb Au
6 2 18
direct
0.035 0.713 0.250
0.287 0.322 0.250
0.322 0.035 0.750
0.678 0.965 0.250
0.713 0.678 0.750
0.965 0.287 0.750
0.000 0.000 0.000
0.000 0.000 0.500
0.034 0.667 0.589
0.034 0.667 0.911
0.333 0.367 0.589
0.333 0.367 0.911
0.333 0.667 0.086
0.333 0.667 0.414
0.333 0.667 0.750
0.367 0.034 0.089
0.367 0.034 0.411
0.633 0.966 0.589
0.633 0.966 0.911
0.667 0.333 0.250
0.667 0.333 0.586
0.667 0.333 0.914
0.667 0.633 0.089
0.667 0.633 0.411
0.966 0.333 0.089
0.966 0.333 0.411
```


Starting from a crystal structure in OQMD, relaxed with GGA-PBE, the X-ray powder pattern of Li4SiPt3 was simulated for Cu Kα X-rays.
Neutral-atom scattering factors, no anomalous dispersion.

Largest 8 diffraction maxima, low angle first, 2θ = 15–90°:
15.71 deg, I = 33
25.68 deg, I = 100
32.74 deg, I = 24
40.08 deg, I = 26
42.06 deg, I = 65
45.28 deg, I = 14
48.76 deg, I = 15
55.42 deg, I = 12

Atomic structure:
```
Li4SiPt3
1.0
3.469 2.003 5.471
-3.469 2.003 5.471
0.000 -4.006 5.471
Li Si Pt
8 2 6
direct
0.059 0.343 0.843
0.157 0.657 0.941
0.225 0.225 0.225
0.343 0.843 0.059
0.657 0.941 0.157
0.775 0.775 0.775
0.843 0.059 0.343
0.941 0.157 0.657
0.399 0.399 0.399
0.601 0.601 0.601
0.000 0.608 0.392
0.234 0.766 0.500
0.392 0.000 0.608
0.500 0.234 0.766
0.608 0.392 0.000
0.766 0.500 0.234
```